This entry pairs a crystal structure of PuZn9Ag2 with its calculated powder XRD pattern. Radiation: Cu Kα (λ = 1.5418 Å). Structure: a GGA-PBE-relaxed structure.

Largest 10 diffraction maxima, low angle first, 15 to 90 degrees two-theta:
| 2θ/deg | I/Imax |
| --- | --- |
| 19.70 | 32.3 |
| 37.27 | 57.8 |
| 39.08 | 55.3 |
| 40.02 | 100.0 |
| 47.26 | 30.7 |
| 57.17 | 16.9 |
| 63.61 | 22.6 |
| 72.07 | 16.2 |
| 72.70 | 14.7 |
| 79.44 | 25.1 |

Atomic structure:
```
12
Lattice="9.0117 0.0000 0.0000 -4.5058 7.8043 0.0000 0.0000 0.0000 2.8567" Properties=species:S:1:pos:R:3 pbc="T T T"
Pu 0.0000 0.0000 0.0000
Zn -2.2529 3.9022 0.0000
Zn 0.0000 2.7774 1.4283
Zn -2.1005 6.4156 1.4283
Zn 2.4053 1.3887 1.4283
Zn 4.5058 0.0000 0.0000
Zn 2.2529 3.9022 0.0000
Zn 2.1005 6.4156 1.4283
Zn 6.6063 1.3887 1.4283
Zn 4.5058 5.0269 1.4283
Ag 0.0000 5.2029 0.0000
Ag 4.5058 2.6014 0.0000
```